No. 1
Diffraction record for LiCu4Te5. The XRD peak list is calculated, not measured: it uses a crystal structure in Alexandria, relaxed with GGA-PBE and CuKα.
Lines closer than 0.1° are merged.

Principal peaks in the range 5 to 70 degrees two-theta, sorted by position:
2θ (°), d/Å, Rel. int.
27.9, 3.201, 40
32.1, 2.788, 53
32.4, 2.765, 100
46.2, 1.963, 73
46.4, 1.955, 35
57.6, 1.601, 36

Structure:
a b c (Å): 6.7822 6.7822 6.7822
angles (deg): 99.73 99.73 131.46
Positions (direct):
1 Li 0.0000 0.0000 0.0000
2 Cu 0.1962 0.5992 0.8010
3 Cu 0.3951 0.1962 0.5970
4 Cu 0.5992 0.7982 0.4030
5 Cu 0.7982 0.3951 0.1990
6 Te 0.1110 0.3108 0.4275
7 Te 0.3108 0.8834 0.1999
8 Te 0.4995 0.4995 0.0000
9 Te 0.6835 0.1110 0.8001
10 Te 0.8834 0.6835 0.5725



No. 2
Diffraction record for LiThCuTe3. The XRD peak list is calculated, not measured: it uses a crystal structure in Alexandria, relaxed with GGA-PBE and CuKα.
Lines closer than 0.1° are merged.

Principal peaks in the range 5 to 70 degrees two-theta, sorted by position:
2θ (°), d/Å, Rel. int.
11.8, 7.498, 100
23.2, 3.840, 40
26.6, 3.348, 51
29.3, 3.053, 51
29.5, 3.025, 42
42.4, 2.130, 34

Structure:
a b c (Å): 8.7948 4.3028 10.3844
angles (deg): 90.00 104.72 90.00
Positions (direct):
1 Li 0.1118 0.2500 0.3289
2 Li 0.8882 0.7500 0.6711
3 Th 0.3208 0.7500 0.8314
4 Th 0.6792 0.2500 0.1686
5 Cu 0.0838 0.2500 0.5909
6 Cu 0.9162 0.7500 0.4091
7 Te 0.0653 0.2500 0.8418
8 Te 0.2343 0.7500 0.5229
9 Te 0.4159 0.7500 0.1504
10 Te 0.5841 0.2500 0.8496
11 Te 0.7657 0.2500 0.4771
12 Te 0.9347 0.7500 0.1582



No. 3
Diffraction record for Li2Zr2CuTe6. The XRD peak list is calculated, not measured: it uses a crystal structure in Alexandria, relaxed with GGA-PBE and CuKα.
Lines closer than 0.1° are merged.

Principal peaks in the range 5 to 70 degrees two-theta, sorted by position:
2θ (°), d/Å, Rel. int.
12.6, 7.048, 34
26.5, 3.369, 31
30.3, 2.948, 100
30.9, 2.893, 45
42.6, 2.121, 37
45.0, 2.013, 32

Structure:
a b c (Å): 7.1108 7.1108 7.4170
angles (deg): 98.70 98.70 121.87
Positions (direct):
1 Li 0.1701 0.8299 0.0000
2 Li 0.8299 0.1701 0.0000
3 Zr 0.3332 0.6668 0.5000
4 Zr 0.6668 0.3332 0.5000
5 Cu 0.0000 0.0000 0.5000
6 Te 0.0814 0.4138 0.7444
7 Te 0.2321 0.2321 0.2695
8 Te 0.4138 0.0814 0.7444
9 Te 0.5862 0.9186 0.2556
10 Te 0.7679 0.7679 0.7305
11 Te 0.9186 0.5862 0.2556